Entry 1:
Diffraction record for Y5Tm11O24. The XRD peak list is computed, not measured: it uses a DFT-relaxed cell (PBE, Alexandria) and copper Kα.
Peak positions follow from Bragg's law for the DFT cell and can differ from measured ones.

Structure:
```
data_Y5Tm11O24
_cell_length_a 9.128
_cell_length_b 9.128
_cell_length_c 10.544
_cell_angle_alpha 125.23
_cell_angle_beta 125.23
_cell_angle_gamma 70.57
_symmetry_space_group_name_H-M 'P 1'
_symmetry_Int_Tables_number 1
loop_
_symmetry_equiv_pos_as_xyz
'x,y,z'
loop_
_atom_site_label
_atom_site_type_symbol
_atom_site_fract_x
_atom_site_fract_y
_atom_site_fract_z
_atom_site_occupancy
Y1 Y 0.000 0.000 0.000 1
Y2 Y 0.282 0.717 0.749 1
Y3 Y 0.283 0.718 0.251 1
Y4 Y 0.781 0.219 0.251 1
Y5 Y 0.781 0.219 0.749 1
Tm1 Tm 0.032 0.467 0.717 1
Tm2 Tm 0.032 0.469 0.218 1
Tm3 Tm 0.064 0.936 0.500 1
Tm4 Tm 0.250 0.186 0.469 1
Tm5 Tm 0.314 0.251 0.032 1
Tm6 Tm 0.499 0.501 0.000 1
Tm7 Tm 0.531 0.968 0.782 1
Tm8 Tm 0.533 0.968 0.283 1
Tm9 Tm 0.564 0.436 0.500 1
Tm10 Tm 0.749 0.686 0.968 1
Tm11 Tm 0.814 0.750 0.531 1
O1 O 0.008 0.731 0.219 1
O2 O 0.012 0.187 0.493 1
O3 O 0.025 0.264 0.266 1
O4 O 0.039 0.676 0.476 1
O5 O 0.051 0.745 0.789 1
O6 O 0.054 0.210 0.980 1
O7 O 0.239 0.476 0.977 1
O8 O 0.255 0.949 0.211 1
O9 O 0.269 0.992 0.781 1
O10 O 0.295 0.444 0.719 1
O11 O 0.313 0.488 0.293 1
O12 O 0.324 0.961 0.524 1
O13 O 0.508 0.231 0.520 1
O14 O 0.512 0.687 0.707 1
O15 O 0.524 0.761 0.023 1
O16 O 0.539 0.175 0.238 1
O17 O 0.551 0.249 0.007 1
O18 O 0.556 0.705 0.281 1
O19 O 0.736 0.975 0.734 1
O20 O 0.751 0.449 0.993 1
O21 O 0.769 0.492 0.480 1
O22 O 0.790 0.946 0.020 1
O23 O 0.813 0.988 0.507 1
O24 O 0.825 0.461 0.762 1
```

Principal peaks in the range 2θ from 10° to 90°, sorted by position:
| Position (°2θ) | intensity |
| --- | --- |
| 20.6 | 13 |
| 29.3 | 100 |
| 34.0 | 33 |
| 43.8 | 11 |
| 48.9 | 38 |
| 58.0 | 30 |



Entry 2:
Diffraction record for Y11Tm5O24. The XRD peak list is computed, not measured: it uses a DFT-relaxed cell (PBE, Alexandria) and copper Kα.
Peak positions follow from Bragg's law for the DFT cell and can differ from measured ones.

Structure:
```
data_Y11Tm5O24
_cell_length_a 9.202
_cell_length_b 9.202
_cell_length_c 9.203
_cell_angle_alpha 109.46
_cell_angle_beta 109.45
_cell_angle_gamma 109.42
_symmetry_space_group_name_H-M 'P 1'
_symmetry_Int_Tables_number 1
loop_
_symmetry_equiv_pos_as_xyz
'x,y,z'
loop_
_atom_site_label
_atom_site_type_symbol
_atom_site_fract_x
_atom_site_fract_y
_atom_site_fract_z
_atom_site_occupancy
Y1 Y 0.000 0.000 0.000 1
Y2 Y 0.000 0.498 0.496 1
Y3 Y 0.250 0.780 0.032 1
Y4 Y 0.282 0.031 0.747 1
Y5 Y 0.468 0.250 0.217 1
Y6 Y 0.500 0.998 0.499 1
Y7 Y 0.502 0.499 0.998 1
Y8 Y 0.532 0.748 0.778 1
Y9 Y 0.719 0.966 0.249 1
Y10 Y 0.783 0.531 0.748 1
Y11 Y 0.968 0.248 0.717 1
Tm1 Tm 0.033 0.748 0.281 1
Tm2 Tm 0.217 0.466 0.249 1
Tm3 Tm 0.250 0.281 0.530 1
Tm4 Tm 0.750 0.715 0.464 1
Tm5 Tm 0.751 0.218 0.966 1
O1 O 0.013 0.242 0.971 1
O2 O 0.029 0.769 0.537 1
O3 O 0.043 0.530 0.769 1
O4 O 0.228 0.987 0.956 1
O5 O 0.231 0.260 0.769 1
O6 O 0.239 0.230 0.272 1
O7 O 0.256 0.029 0.482 1
O8 O 0.269 0.725 0.261 1
O9 O 0.270 0.539 0.526 1
O10 O 0.458 0.727 0.987 1
O11 O 0.468 0.514 0.241 1
O12 O 0.490 0.959 0.728 1
O13 O 0.513 0.042 0.272 1
O14 O 0.528 0.484 0.754 1
O15 O 0.546 0.271 0.011 1
O16 O 0.729 0.269 0.741 1
O17 O 0.730 0.459 0.466 1
O18 O 0.740 0.964 0.510 1
O19 O 0.762 0.771 0.725 1
O20 O 0.771 0.013 0.040 1
O21 O 0.774 0.736 0.228 1
O22 O 0.957 0.467 0.224 1
O23 O 0.972 0.227 0.456 1
O24 O 0.987 0.759 0.033 1
```

Principal peaks in the range 2θ from 10° to 90°, sorted by position:
| Position (°2θ) | intensity |
| --- | --- |
| 20.5 | 16 |
| 29.1 | 100 |
| 33.7 | 30 |
| 43.4 | 11 |
| 48.4 | 40 |
| 57.5 | 27 |



Entry 3:
Diffraction record for Tm4Zr3O12. The XRD peak list is computed, not measured: it uses a DFT-relaxed cell (PBE, Alexandria) and copper Kα.
Peak positions follow from Bragg's law for the DFT cell and can differ from measured ones.

Structure:
```
data_Tm4Zr3O12
_cell_length_a 6.315
_cell_length_b 6.357
_cell_length_c 6.525
_cell_angle_alpha 99.84
_cell_angle_beta 98.84
_cell_angle_gamma 99.38
_symmetry_space_group_name_H-M 'P 1'
_symmetry_Int_Tables_number 1
loop_
_symmetry_equiv_pos_as_xyz
'x,y,z'
loop_
_atom_site_label
_atom_site_type_symbol
_atom_site_fract_x
_atom_site_fract_y
_atom_site_fract_z
_atom_site_occupancy
Tm1 Tm 0.112 0.302 0.135 1
Tm2 Tm 0.193 0.865 0.389 1
Tm3 Tm 0.807 0.135 0.611 1
Tm4 Tm 0.888 0.698 0.865 1
Zr1 Zr 0.348 0.395 0.671 1
Zr2 Zr 0.500 0.000 0.000 1
Zr3 Zr 0.652 0.605 0.329 1
O1 O 0.083 0.186 0.431 1
O2 O 0.084 0.417 0.822 1
O3 O 0.183 0.931 0.060 1
O4 O 0.324 0.571 0.424 1
O5 O 0.420 0.081 0.689 1
O6 O 0.469 0.323 0.112 1
O7 O 0.531 0.677 0.888 1
O8 O 0.580 0.919 0.311 1
O9 O 0.676 0.429 0.576 1
O10 O 0.817 0.069 0.940 1
O11 O 0.916 0.583 0.178 1
O12 O 0.917 0.814 0.569 1
```

Principal peaks in the range 2θ from 10° to 90°, sorted by position:
| Position (°2θ) | intensity |
| --- | --- |
| 29.1 | 53 |
| 29.4 | 48 |
| 29.9 | 100 |
| 34.3 | 21 |
| 34.5 | 28 |
| 49.2 | 28 |



Entry 4:
Diffraction record for Tm4Zr3O12. The XRD peak list is computed, not measured: it uses a DFT-relaxed cell (PBE, Alexandria) and copper Kα.
Peak positions follow from Bragg's law for the DFT cell and can differ from measured ones.

Structure:
```
data_Tm4Zr3O12
_cell_length_a 6.351
_cell_length_b 6.425
_cell_length_c 12.773
_cell_angle_alpha 99.38
_cell_angle_beta 99.34
_cell_angle_gamma 99.33
_symmetry_space_group_name_H-M 'P 1'
_symmetry_Int_Tables_number 1
loop_
_symmetry_equiv_pos_as_xyz
'x,y,z'
loop_
_atom_site_label
_atom_site_type_symbol
_atom_site_fract_x
_atom_site_fract_y
_atom_site_fract_z
_atom_site_occupancy
Tm1 Tm 0.111 0.136 0.403 1
Tm2 Tm 0.190 0.391 0.682 1
Tm3 Tm 0.201 0.389 0.182 1
Tm4 Tm 0.359 0.691 0.947 1
Tm5 Tm 0.641 0.309 0.053 1
Tm6 Tm 0.799 0.611 0.818 1
Tm7 Tm 0.810 0.609 0.318 1
Tm8 Tm 0.889 0.864 0.597 1
Zr1 Zr 0.108 0.145 0.906 1
Zr2 Zr 0.353 0.675 0.446 1
Zr3 Zr 0.492 0.993 0.747 1
Zr4 Zr 0.508 0.007 0.253 1
Zr5 Zr 0.647 0.325 0.554 1
Zr6 Zr 0.892 0.855 0.094 1
O1 O 0.067 0.828 0.962 1
O2 O 0.073 0.419 0.841 1
O3 O 0.086 0.820 0.462 1
O4 O 0.088 0.429 0.341 1
O5 O 0.179 0.059 0.713 1
O6 O 0.182 0.041 0.204 1
O7 O 0.316 0.412 0.032 1
O8 O 0.324 0.423 0.535 1
O9 O 0.422 0.690 0.290 1
O10 O 0.426 0.080 0.908 1
O11 O 0.426 0.681 0.780 1
O12 O 0.463 0.106 0.411 1
O13 O 0.537 0.894 0.589 1
O14 O 0.574 0.319 0.220 1
O15 O 0.574 0.920 0.092 1
O16 O 0.578 0.310 0.710 1
O17 O 0.676 0.577 0.465 1
O18 O 0.684 0.588 0.968 1
O19 O 0.818 0.959 0.796 1
O20 O 0.821 0.941 0.287 1
O21 O 0.912 0.571 0.659 1
O22 O 0.914 0.180 0.538 1
O23 O 0.927 0.581 0.159 1
O24 O 0.933 0.172 0.038 1
```

Principal peaks in the range 2θ from 10° to 90°, sorted by position:
| Position (°2θ) | intensity |
| --- | --- |
| 29.5 | 100 |
| 29.7 | 53 |
| 29.8 | 52 |
| 34.2 | 23 |
| 34.4 | 22 |
| 49.5 | 28 |



Entry 5:
Diffraction record for UO3. The XRD peak list is computed, not measured: it uses a DFT-relaxed cell (PBE, Alexandria) and copper Kα.
Peak positions follow from Bragg's law for the DFT cell and can differ from measured ones.

Structure:
```
data_UO3
_cell_length_a 3.808
_cell_length_b 3.808
_cell_length_c 4.151
_cell_angle_alpha 90.00
_cell_angle_beta 90.00
_cell_angle_gamma 120.00
_symmetry_space_group_name_H-M 'P 1'
_symmetry_Int_Tables_number 1
loop_
_symmetry_equiv_pos_as_xyz
'x,y,z'
loop_
_atom_site_label
_atom_site_type_symbol
_atom_site_fract_x
_atom_site_fract_y
_atom_site_fract_z
_atom_site_occupancy
U1 U 0.000 0.000 0.000 1
O1 O 0.000 0.000 0.500 1
O2 O 0.333 0.667 0.113 1
O3 O 0.667 0.333 0.887 1
```

Principal peaks in the range 2θ from 10° to 90°, sorted by position:
| Position (°2θ) | intensity |
| --- | --- |
| 21.4 | 63 |
| 27.0 | 100 |
| 34.7 | 81 |
| 47.8 | 31 |
| 52.1 | 39 |
| 52.9 | 35 |



Entry 6:
Diffraction record for UO3. The XRD peak list is computed, not measured: it uses a DFT-relaxed cell (PBE, Alexandria) and copper Kα.
Peak positions follow from Bragg's law for the DFT cell and can differ from measured ones.

Structure:
```
data_UO3
_cell_length_a 5.247
_cell_length_b 5.547
_cell_length_c 7.578
_cell_angle_alpha 90.00
_cell_angle_beta 90.00
_cell_angle_gamma 90.00
_symmetry_space_group_name_H-M 'P 1'
_symmetry_Int_Tables_number 1
loop_
_symmetry_equiv_pos_as_xyz
'x,y,z'
loop_
_atom_site_label
_atom_site_type_symbol
_atom_site_fract_x
_atom_site_fract_y
_atom_site_fract_z
_atom_site_occupancy
U1 U 0.216 0.125 0.184 1
U2 U 0.284 0.875 0.684 1
U3 U 0.716 0.375 0.816 1
U4 U 0.784 0.625 0.316 1
O1 O 0.031 0.862 0.096 1
O2 O 0.066 0.615 0.746 1
O3 O 0.081 0.870 0.429 1
O4 O 0.419 0.130 0.929 1
O5 O 0.434 0.385 0.246 1
O6 O 0.469 0.138 0.596 1
O7 O 0.531 0.638 0.904 1
O8 O 0.566 0.885 0.254 1
O9 O 0.581 0.630 0.571 1
O10 O 0.919 0.370 0.071 1
O11 O 0.934 0.115 0.754 1
O12 O 0.969 0.362 0.404 1
```

Principal peaks in the range 2θ from 10° to 90°, sorted by position:
| Position (°2θ) | intensity |
| --- | --- |
| 23.3 | 80 |
| 23.5 | 37 |
| 26.2 | 100 |
| 29.1 | 47 |
| 34.4 | 36 |
| 49.3 | 39 |



Entry 7:
Diffraction record for U11O5. The XRD peak list is computed, not measured: it uses a DFT-relaxed cell (PBE, Alexandria) and copper Kα.
Peak positions follow from Bragg's law for the DFT cell and can differ from measured ones.

Structure:
```
data_U11O5
_cell_length_a 3.339
_cell_length_b 7.929
_cell_length_c 11.539
_cell_angle_alpha 84.26
_cell_angle_beta 82.09
_cell_angle_gamma 78.54
_symmetry_space_group_name_H-M 'P 1'
_symmetry_Int_Tables_number 1
loop_
_symmetry_equiv_pos_as_xyz
'x,y,z'
loop_
_atom_site_label
_atom_site_type_symbol
_atom_site_fract_x
_atom_site_fract_y
_atom_site_fract_z
_atom_site_occupancy
U1 U 0.000 0.000 0.000 1
U2 U 0.023 0.839 0.806 1
U3 U 0.131 0.372 0.103 1
U4 U 0.191 0.772 0.514 1
U5 U 0.433 0.224 0.916 1
U6 U 0.507 0.171 0.567 1
U7 U 0.537 0.770 0.266 1
U8 U 0.715 0.043 0.318 1
U9 U 0.760 0.606 0.957 1
U10 U 0.919 0.547 0.658 1
U11 U 0.960 0.374 0.468 1
O1 O 0.054 0.002 0.642 1
O2 O 0.105 0.251 0.283 1
O3 O 0.426 0.533 0.373 1
O4 O 0.539 0.830 0.078 1
O5 O 0.892 0.381 0.820 1
```

Principal peaks in the range 2θ from 10° to 90°, sorted by position:
| Position (°2θ) | intensity |
| --- | --- |
| 20.0 | 35 |
| 31.7 | 99 |
| 32.2 | 100 |
| 32.5 | 62 |
| 34.3 | 36 |
| 36.2 | 41 |



Entry 8:
Diffraction record for U4O7. The XRD peak list is computed, not measured: it uses a DFT-relaxed cell (PBE, Alexandria) and copper Kα.
Peak positions follow from Bragg's law for the DFT cell and can differ from measured ones.

Structure:
```
data_U4O7
_cell_length_a 6.658
_cell_length_b 6.658
_cell_length_c 10.857
_cell_angle_alpha 114.13
_cell_angle_beta 114.13
_cell_angle_gamma 48.57
_symmetry_space_group_name_H-M 'P 1'
_symmetry_Int_Tables_number 1
loop_
_symmetry_equiv_pos_as_xyz
'x,y,z'
loop_
_atom_site_label
_atom_site_type_symbol
_atom_site_fract_x
_atom_site_fract_y
_atom_site_fract_z
_atom_site_occupancy
U1 U 0.118 0.139 0.445 1
U2 U 0.139 0.118 0.945 1
U3 U 0.350 0.391 0.817 1
U4 U 0.391 0.350 0.317 1
U5 U 0.609 0.650 0.683 1
U6 U 0.650 0.609 0.183 1
U7 U 0.861 0.882 0.055 1
U8 U 0.882 0.861 0.555 1
O1 O 0.009 0.495 0.377 1
O2 O 0.020 0.506 0.132 1
O3 O 0.245 0.755 0.750 1
O4 O 0.248 0.746 0.012 1
O5 O 0.254 0.752 0.488 1
O6 O 0.494 0.980 0.368 1
O7 O 0.495 0.009 0.877 1
O8 O 0.505 0.991 0.123 1
O9 O 0.506 0.020 0.632 1
O10 O 0.746 0.248 0.512 1
O11 O 0.752 0.254 0.988 1
O12 O 0.755 0.245 0.250 1
O13 O 0.980 0.494 0.868 1
O14 O 0.991 0.505 0.623 1
```

Principal peaks in the range 2θ from 10° to 90°, sorted by position:
| Position (°2θ) | intensity |
| --- | --- |
| 28.4 | 100 |
| 33.0 | 26 |
| 47.2 | 31 |
| 47.4 | 16 |
| 55.8 | 15 |
| 56.2 | 30 |